The following is a simulated XRD peak list of Na4CoAuO5. It was derived from a DFT-relaxed cell (GGA+U, Alexandria), using Cu Ka.

Crystal structure
```
data_Na4CoAuO5
_chemical_formula_sum 'Na16 Co4 Au4 O20'
_space_group_name_H-M_alt 'C m c m'
_space_group_IT_number 63
_space_group_name_Hall '-C 2c 2'
_cell_length_a 9.6017
_cell_length_b 5.8604
_cell_length_c 10.5991
_cell_angle_alpha 90.00
_cell_angle_beta 90.00
_cell_angle_gamma 90.00
loop_
_atom_site_label
_atom_site_fract_x
_atom_site_fract_y
_atom_site_fract_z
_atom_site_occupancy
Na1 0.1708 0.0000 0.0000 1
Na2 0.1838 0.3250 0.2500 1
Co1 0.0000 0.2298 0.7500 1
Au1 0.0000 0.5000 0.0000 1
O1 0.0000 0.0705 0.2500 1
O2 0.1392 0.3463 0.6175 1
```

Top 8 peaks for 2θ from 10° to 80°, in order of rising 2θ:
- d = 5.002 Å, 17.73 deg, I = 98
- d = 4.801 Å, 18.48 deg, I = 55
- d = 3.638 Å, 24.47 deg, I = 100
- d = 2.650 Å, 33.83 deg, I = 29
- d = 2.564 Å, 34.99 deg, I = 58
- d = 2.482 Å, 36.19 deg, I = 84
- d = 2.262 Å, 39.86 deg, I = 32
- d = 1.667 Å, 55.10 deg, I = 29